(1)
For RbTc2AuO8, a DFT-relaxed cell (GGA-PBE, Alexandria) gives the simulated powder XRD pattern in this record (λ = 1.5418 Å (Cu Kα)).
Kinematic intensities with the Lorentz-polarization factor, no thermal factor.

Largest 8 diffraction maxima, low angle first, 2θ from 10° to 90°:
| d [Å] | I (rel.) |
| --- | --- |
| 6.611 | 54 |
| 3.694 | 91 |
| 3.641 | 66 |
| 3.297 | 100 |
| 3.053 | 26 |
| 2.937 | 35 |
| 2.286 | 30 |
| 2.206 | 30 |

Atomic structure:
```
data_RbTc2AuO8
_cell_length_a 6.684
_cell_length_b 6.684
_cell_length_c 7.406
_cell_angle_alpha 113.88
_cell_angle_beta 113.88
_cell_angle_gamma 52.14
_space_group_name_H-M_alt 'P 1'
_space_group_IT_number 1
_space_group_name_Hall 'P 1'
loop_
_atom_site_label
_atom_site_fract_x
_atom_site_fract_y
_atom_site_fract_z
Rb1 0.000 0.000 0.000
Tc1 0.200 0.200 0.675
Tc2 0.800 0.800 0.325
Au1 0.500 0.500 0.500
O1 0.114 0.630 0.281
O2 0.175 0.175 0.424
O3 0.359 0.359 0.834
O4 0.370 0.886 0.719
O5 0.630 0.114 0.281
O6 0.641 0.641 0.166
O7 0.825 0.825 0.576
O8 0.886 0.370 0.719
```

---

(2)
For RbThAuO4, a DFT-relaxed cell (GGA-PBE, Alexandria) gives the simulated powder XRD pattern in this record (λ = 1.5418 Å (Cu Kα)).
Kinematic intensities with the Lorentz-polarization factor, no thermal factor.

Largest 8 diffraction maxima, low angle first, 2θ from 10° to 90°:
| d [Å] | I (rel.) |
| --- | --- |
| 6.221 | 51 |
| 5.623 | 94 |
| 3.427 | 65 |
| 3.111 | 100 |
| 3.057 | 52 |
| 3.040 | 75 |
| 2.822 | 59 |
| 1.879 | 69 |

Atomic structure:
```
data_RbThAuO4
_cell_length_a 7.776
_cell_length_b 7.776
_cell_length_c 7.776
_cell_angle_alpha 131.95
_cell_angle_beta 124.62
_cell_angle_gamma 76.31
_space_group_name_H-M_alt 'P 1'
_space_group_IT_number 1
_space_group_name_Hall 'P 1'
loop_
_atom_site_label
_atom_site_fract_x
_atom_site_fract_y
_atom_site_fract_z
Rb1 0.419 0.169 0.250
Rb2 0.581 0.831 0.750
Th1 0.000 0.500 0.500
Th2 0.500 0.500 0.000
Au1 0.000 0.000 0.500
Au2 0.000 0.500 0.000
O1 0.136 0.711 0.425
O2 0.214 0.289 0.925
O3 0.268 0.310 0.541
O4 0.268 0.727 0.959
O5 0.732 0.273 0.041
O6 0.732 0.690 0.459
O7 0.786 0.711 0.075
O8 0.864 0.289 0.575
```